(1)
This entry pairs a crystal structure of TlSnTe2 with its theoretical XRD peak list. Radiation: Cu Kα (weighted mean of Kα1 and Kα2). Structure: a crystal structure in Alexandria, relaxed with PBE.
No peak broadening, texture or thermal motion is included.

Atomic structure:
Lattice parameters (Å, degrees): 4.361 4.361 24.698 90.00 90.00 120.00
Sites, in units of the cell vectors:
Tl: 0.000 0.000 0.000
Tl: 0.333 0.667 0.667
Tl: 0.667 0.333 0.333
Sn: 0.000 0.000 0.832
Sn: 0.333 0.667 0.499
Sn: 0.667 0.333 0.166
Te: 0.000 0.000 0.239
Te: 0.000 0.000 0.426
Te: 0.333 0.667 0.093
Te: 0.333 0.667 0.906
Te: 0.667 0.333 0.572
Te: 0.667 0.333 0.759

Peak list (6 most intense, 2θ from 5° to 70°, low angle first)
two_theta	I/Imax
24.65	27
27.69	26
29.78	100
34.80	41
41.41	54
62.01	25

=====

(2)
This entry pairs a crystal structure of Tl2Sn2Te3 with its theoretical XRD peak list. Radiation: Cu Kα (weighted mean of Kα1 and Kα2). Structure: a crystal structure in Alexandria, relaxed with PBE.
No peak broadening, texture or thermal motion is included.

Atomic structure:
Lattice parameters (Å, degrees): 4.588 7.208 7.941 92.17 106.76 90.36
Sites, in units of the cell vectors:
Tl: 0.111 0.415 0.212
Tl: 0.889 0.585 0.788
Sn: 0.368 0.123 0.734
Sn: 0.632 0.877 0.266
Te: 0.000 0.000 0.000
Te: 0.268 0.761 0.543
Te: 0.732 0.239 0.457

Peak list (6 most intense, 2θ from 5° to 70°, low angle first)
two_theta	I/Imax
27.85	100
28.66	85
28.78	81
38.06	77
39.28	43
42.81	41

=====

(3)
This entry pairs a crystal structure of Tl3SnTe3 with its theoretical XRD peak list. Radiation: Cu Kα (weighted mean of Kα1 and Kα2). Structure: a crystal structure in Alexandria, relaxed with PBE.
No peak broadening, texture or thermal motion is included.

Atomic structure:
Lattice parameters (Å, degrees): 13.882 5.284 14.352 90.00 90.00 90.00
Sites, in units of the cell vectors:
Tl: 0.058 0.250 0.115
Tl: 0.169 0.750 0.483
Tl: 0.231 0.750 0.783
Tl: 0.269 0.250 0.283
Tl: 0.331 0.250 0.983
Tl: 0.442 0.750 0.615
Tl: 0.558 0.250 0.385
Tl: 0.669 0.750 0.017
Tl: 0.731 0.750 0.717
Tl: 0.769 0.250 0.217
Tl: 0.831 0.250 0.517
Tl: 0.942 0.750 0.885
Sn: 0.057 0.250 0.682
Sn: 0.443 0.750 0.182
Sn: 0.557 0.250 0.818
Sn: 0.943 0.750 0.318
Te: 0.023 0.250 0.360
Te: 0.096 0.250 0.879
Te: 0.248 0.250 0.611
Te: 0.252 0.750 0.111
Te: 0.404 0.750 0.379
Te: 0.477 0.750 0.860
Te: 0.523 0.250 0.140
Te: 0.596 0.250 0.621
Te: 0.748 0.250 0.889
Te: 0.752 0.750 0.389
Te: 0.904 0.750 0.121
Te: 0.977 0.750 0.640

Peak list (6 most intense, 2θ from 5° to 70°, low angle first)
two_theta	I/Imax
25.93	55
27.99	41
28.26	100
30.82	99
32.82	81
33.93	84

=====

(4)
This entry pairs a crystal structure of Tl14Sn2Te9 with its theoretical XRD peak list. Radiation: Cu Kα (weighted mean of Kα1 and Kα2). Structure: a crystal structure in Alexandria, relaxed with PBE.
No peak broadening, texture or thermal motion is included.

Atomic structure:
Lattice parameters (Å, degrees): 8.919 8.919 15.375 90.00 90.00 120.00
Sites, in units of the cell vectors:
Tl: 0.000 0.000 0.240
Tl: 0.000 0.000 0.760
Tl: 0.033 0.360 0.098
Tl: 0.115 0.427 0.578
Tl: 0.312 0.885 0.578
Tl: 0.326 0.967 0.098
Tl: 0.360 0.326 0.902
Tl: 0.427 0.312 0.422
Tl: 0.573 0.688 0.578
Tl: 0.640 0.674 0.098
Tl: 0.674 0.033 0.902
Tl: 0.688 0.115 0.422
Tl: 0.885 0.573 0.422
Tl: 0.967 0.640 0.902
Sn: 0.333 0.667 0.268
Sn: 0.667 0.333 0.732
Te: 0.000 0.000 0.000
Te: 0.100 0.347 0.362
Te: 0.247 0.900 0.362
Te: 0.333 0.667 0.969
Te: 0.347 0.247 0.638
Te: 0.653 0.753 0.362
Te: 0.667 0.333 0.031
Te: 0.753 0.100 0.638
Te: 0.900 0.653 0.638

Peak list (6 most intense, 2θ from 5° to 70°, low angle first)
two_theta	I/Imax
20.76	26
23.06	40
30.68	100
32.83	27
34.84	25
62.83	16

=====

(5)
This entry pairs a crystal structure of Tl4SnTe3 with its theoretical XRD peak list. Radiation: Cu Kα (weighted mean of Kα1 and Kα2). Structure: a crystal structure in Alexandria, relaxed with PBE.
No peak broadening, texture or thermal motion is included.

Atomic structure:
Lattice parameters (Å, degrees): 8.765 8.765 12.814 122.65 122.65 51.79
Sites, in units of the cell vectors:
Tl: 0.113 0.551 0.705
Tl: 0.165 0.835 0.500
Tl: 0.364 0.887 0.875
Tl: 0.503 0.924 0.463
Tl: 0.551 0.113 0.205
Tl: 0.835 0.165 0.000
Tl: 0.887 0.364 0.375
Tl: 0.924 0.503 0.963
Sn: 0.291 0.716 0.042
Sn: 0.716 0.291 0.542
Te: 0.055 0.881 0.207
Te: 0.291 0.365 0.420
Te: 0.365 0.291 0.920
Te: 0.660 0.701 0.713
Te: 0.701 0.660 0.213
Te: 0.881 0.055 0.707

Peak list (6 most intense, 2θ from 5° to 70°, low angle first)
two_theta	I/Imax
24.14	56
25.37	56
29.75	60
32.61	100
33.17	47
36.90	39

=====

(6)
This entry pairs a crystal structure of Tl7SnTe6 with its theoretical XRD peak list. Radiation: Cu Kα (weighted mean of Kα1 and Kα2). Structure: a crystal structure in Alexandria, relaxed with PBE.
No peak broadening, texture or thermal motion is included.

Atomic structure:
Lattice parameters (Å, degrees): 12.744 12.744 12.744 143.52 110.07 81.54
Sites, in units of the cell vectors:
Tl: 0.016 0.270 0.286
Tl: 0.077 0.566 0.868
Tl: 0.199 0.066 0.489
Tl: 0.250 0.250 0.000
Tl: 0.301 0.791 0.868
Tl: 0.423 0.291 0.489
Tl: 0.484 0.770 0.254
Tl: 0.516 0.230 0.746
Tl: 0.577 0.709 0.511
Tl: 0.699 0.209 0.132
Tl: 0.750 0.750 0.000
Tl: 0.801 0.934 0.511
Tl: 0.923 0.434 0.132
Tl: 0.984 0.730 0.714
Sn: 0.250 0.750 0.500
Sn: 0.750 0.250 0.500
Te: 0.062 0.878 0.612
Te: 0.174 0.997 0.171
Te: 0.234 0.622 0.184
Te: 0.266 0.450 0.388
Te: 0.326 0.497 0.823
Te: 0.438 0.050 0.816
Te: 0.562 0.950 0.184
Te: 0.674 0.503 0.177
Te: 0.734 0.550 0.612
Te: 0.766 0.378 0.816
Te: 0.826 0.003 0.829
Te: 0.938 0.122 0.388

Peak list (6 most intense, 2θ from 5° to 70°, low angle first)
two_theta	I/Imax
22.08	100
27.09	64
27.25	80
28.44	55
34.57	54
37.99	61

=====

(7)
This entry pairs a crystal structure of Tl6SnTe4 with its theoretical XRD peak list. Radiation: Cu Kα (weighted mean of Kα1 and Kα2). Structure: a crystal structure in Alexandria, relaxed with PBE.
No peak broadening, texture or thermal motion is included.

Atomic structure:
Lattice parameters (Å, degrees): 11.497 11.497 7.126 90.00 90.00 120.00
Sites, in units of the cell vectors:
Tl: 0.039 0.519 0.000
Tl: 0.154 0.309 0.279
Tl: 0.154 0.846 0.279
Tl: 0.309 0.154 0.779
Tl: 0.481 0.519 0.000
Tl: 0.481 0.961 0.000
Tl: 0.519 0.039 0.500
Tl: 0.519 0.481 0.500
Tl: 0.691 0.846 0.279
Tl: 0.846 0.154 0.779
Tl: 0.846 0.691 0.779
Tl: 0.961 0.481 0.500
Sn: 0.333 0.667 0.664
Sn: 0.667 0.333 0.164
Te: 0.181 0.362 0.760
Te: 0.181 0.819 0.760
Te: 0.333 0.667 0.240
Te: 0.362 0.181 0.260
Te: 0.638 0.819 0.760
Te: 0.667 0.333 0.740
Te: 0.819 0.181 0.260
Te: 0.819 0.638 0.260

Peak list (6 most intense, 2θ from 5° to 70°, low angle first)
two_theta	I/Imax
26.80	29
30.86	94
31.12	100
44.40	27
55.21	22
61.21	19

=====

(8)
This entry pairs a crystal structure of Tl3SnTe3 with its theoretical XRD peak list. Radiation: Cu Kα (weighted mean of Kα1 and Kα2). Structure: a crystal structure in Alexandria, relaxed with PBE.
No peak broadening, texture or thermal motion is included.

Atomic structure:
Lattice parameters (Å, degrees): 8.459 8.459 8.592 94.04 94.04 112.82
Sites, in units of the cell vectors:
Tl: 0.170 0.830 0.000
Tl: 0.231 0.769 0.500
Tl: 0.426 0.426 0.154
Tl: 0.574 0.574 0.846
Tl: 0.769 0.231 0.500
Tl: 0.830 0.170 0.000
Sn: 0.175 0.175 0.638
Sn: 0.825 0.825 0.362
Te: 0.121 0.121 0.284
Te: 0.146 0.479 0.777
Te: 0.479 0.146 0.777
Te: 0.521 0.854 0.223
Te: 0.854 0.521 0.223
Te: 0.879 0.879 0.716

Peak list (6 most intense, 2θ from 5° to 70°, low angle first)
two_theta	I/Imax
24.20	100
24.41	45
29.46	57
30.12	41
30.77	63
34.72	82